# 1
Structure and simulated X-ray diffraction stick pattern of Ba8HgP2 (a structure optimized by DFT (GGA-PBE); Cu Kα).
Lines closer than 0.1° are merged.

Structure:
a = 10.5692 Å, b = 10.5692 Å, c = 6.5917 Å
α = 90.00°, β = 90.00°, γ = 120.00°
Fractional coordinates of all 11 atoms:
Ba (0.1671, 0.3354, 0.2477)
Ba (0.1684, 0.8329, 0.2477)
Ba (0.3333, 0.6667, 0.7631)
Ba (0.3354, 0.1684, 0.7523)
Ba (0.6646, 0.8316, 0.2477)
Ba (0.6667, 0.3333, 0.2369)
Ba (0.8316, 0.1671, 0.7523)
Ba (0.8329, 0.6646, 0.7523)
Hg (0.0000, 0.0000, 0.5000)
P (0.3333, 0.6667, 0.2724)
P (0.6667, 0.3333, 0.7276)

Peak list (10 most intense, 2θ = 10–90°, in order of rising 2θ)
2θ/deg, I_rel
16.57, 13
19.40, 14
23.67, 100
27.05, 13
33.51, 30
33.93, 44
41.79, 22
43.92, 20
45.81, 17
54.87, 20

# 2
Structure and simulated X-ray diffraction stick pattern of Ta5Pt3 (a structure optimized by DFT (GGA-PBE); Cu Kα).
Lines closer than 0.1° are merged.

Structure:
a = 7.7755 Å, b = 7.7755 Å, c = 5.1719 Å
α = 109.11°, β = 109.11°, γ = 83.84°
Fractional coordinates of all 16 atoms:
Ta (0.0055, 0.9945, 0.7500)
Ta (0.2012, 0.3577, 0.7755)
Ta (0.2010, 0.6419, 0.4215)
Ta (0.3577, 0.2012, 0.2755)
Ta (0.3581, 0.7990, 0.0785)
Ta (0.6419, 0.2010, 0.9215)
Ta (0.6423, 0.7988, 0.7245)
Ta (0.7990, 0.3581, 0.5785)
Ta (0.7988, 0.6423, 0.2245)
Ta (0.9945, 0.0055, 0.2500)
Pt (0.9997, 0.3306, 0.1580)
Pt (0.0003, 0.6694, 0.8420)
Pt (0.3306, 0.9997, 0.6580)
Pt (0.4991, 0.5009, 0.2500)
Pt (0.5009, 0.4991, 0.7500)
Pt (0.6694, 0.0003, 0.3420)

Peak list (10 most intense, 2θ = 10–90°, in order of rising 2θ)
2θ/deg, I_rel
34.69, 27
35.58, 32
35.75, 26
38.76, 100
38.90, 36
39.03, 19
39.71, 68
39.87, 77
42.65, 26
42.88, 23

# 3
Structure and simulated X-ray diffraction stick pattern of Sr2NiSn2H4 (a structure optimized by DFT (GGA-PBE); Cu Kα).
Lines closer than 0.1° are merged.

Structure:
a = 6.1102 Å, b = 6.1102 Å, c = 6.1102 Å
α = 115.35°, β = 115.35°, γ = 98.26°
Fractional coordinates of all 9 atoms:
Sr (0.2500, 0.7500, 0.5000)
Sr (0.7500, 0.2500, 0.5000)
Ni (0.0000, 0.0000, 0.0000)
Sn (0.3306, 0.3306, 0.0000)
Sn (0.6694, 0.6694, 0.0000)
H (0.1674, 0.1674, 0.3348)
H (0.1674, 0.8326, 0.0000)
H (0.8326, 0.1674, 0.0000)
H (0.8326, 0.8326, 0.6652)

Peak list (10 most intense, 2θ = 10–90°, in order of rising 2θ)
2θ/deg, I_rel
19.21, 17
22.23, 19
27.30, 100
35.48, 26
36.40, 39
38.99, 40
46.09, 40
61.91, 17
63.69, 19
86.99, 17

# 4
Structure and simulated X-ray diffraction stick pattern of SmEuHf4O12 (a structure optimized by DFT (GGA-PBE); Cu Kα).
Lines closer than 0.1° are merged.

Structure:
a = 8.1948 Å, b = 5.6832 Å, c = 5.6832 Å
α = 89.97°, β = 90.00°, γ = 90.00°
Fractional coordinates of all 18 atoms:
Sm (0.0000, 0.0000, 0.0000)
Eu (0.5000, 0.4385, 0.4385)
Hf (0.2499, 0.4725, 0.9446)
Hf (0.2499, 0.9446, 0.4725)
Hf (0.7501, 0.4725, 0.9446)
Hf (0.7501, 0.9446, 0.4725)
O (0.0000, 0.3938, 0.9515)
O (0.0000, 0.9515, 0.3938)
O (0.1922, 0.7822, 0.7822)
O (0.2629, 0.1689, 0.1689)
O (0.2763, 0.2624, 0.6470)
O (0.2763, 0.6470, 0.2624)
O (0.5000, 0.4950, 0.8999)
O (0.5000, 0.8999, 0.4950)
O (0.7237, 0.2624, 0.6470)
O (0.7237, 0.6470, 0.2624)
O (0.7371, 0.1689, 0.1689)
O (0.8078, 0.7822, 0.7822)

Peak list (10 most intense, 2θ = 10–90°, in order of rising 2θ)
2θ/deg, I_rel
19.00, 39
21.69, 16
22.12, 30
31.17, 100
31.48, 50
44.21, 15
45.12, 24
55.28, 22
55.86, 40
65.01, 15